Starting from a GGA-PBE-relaxed structure, the X-ray diffraction stick pattern of Ca4PN2 was calculated for CuKα.
Intensities are scaled so that the largest is 100.

Largest 6 diffraction maxima, in order of rising 2θ, 2θ from 10° to 90°:
| d [Å] | I (rel.) |
| --- | --- |
| 3.215 | 60 |
| 2.998 | 30 |
| 2.914 | 56 |
| 2.853 | 55 |
| 2.556 | 100 |
| 1.903 | 76 |

Atomic structure:
Cell lengths 7.6927, 7.6927, 7.6927 Å; angles 127.71, 119.23, 84.26 degrees
Positions (direct):
1 Ca 0.2475 0.2162 0.0313
2 Ca 0.2480 0.2403 0.4923
3 Ca 0.2480 0.7557 0.0077
4 Ca 0.3152 0.7838 0.5313
5 Ca 0.6848 0.2162 0.4687
6 Ca 0.7520 0.2443 0.9923
7 Ca 0.7520 0.7597 0.5077
8 Ca 0.7525 0.7838 0.9687
9 P 0.0000 0.0000 0.5000
10 P 0.0000 0.5000 0.0000
11 N 0.0000 0.0000 0.0000
12 N 0.3923 0.6423 0.7500
13 N 0.5000 0.0000 0.5000
14 N 0.6077 0.3577 0.2500

---

Starting from a GGA-PBE-relaxed structure, the X-ray diffraction stick pattern of MgRuCl was calculated for CuKα.
Intensities are scaled so that the largest is 100.

Largest 6 diffraction maxima, in order of rising 2θ, 2θ from 10° to 90°:
| d [Å] | I (rel.) |
| --- | --- |
| 6.182 | 40 |
| 3.091 | 15 |
| 2.693 | 20 |
| 2.469 | 100 |
| 2.031 | 49 |
| 1.555 | 18 |

Atomic structure:
Cell lengths 3.1100, 3.1100, 6.1824 Å; angles 90.00, 90.00, 120.00 degrees
Positions (direct):
1 Mg 0.0000 0.0000 0.0000
2 Ru 0.3333 0.6667 0.3344
3 Cl 0.6667 0.3333 0.7079

---

Starting from a GGA-PBE-relaxed structure, the X-ray diffraction stick pattern of Nd5Te4I was calculated for CuKα.
Intensities are scaled so that the largest is 100.

Largest 6 diffraction maxima, in order of rising 2θ, 2θ from 10° to 90°:
| d [Å] | I (rel.) |
| --- | --- |
| 3.189 | 100 |
| 2.258 | 37 |
| 2.251 | 39 |
| 1.839 | 21 |
| 1.424 | 18 |
| 1.301 | 19 |

Atomic structure:
Cell lengths 18.6505, 18.6505, 18.6505 Å; angles 13.87, 13.87, 13.87 degrees
Positions (direct):
1 Nd 0.0000 0.0000 0.0000
2 Nd 0.2036 0.2036 0.2036
3 Nd 0.4002 0.4002 0.4002
4 Nd 0.5998 0.5998 0.5998
5 Nd 0.7964 0.7964 0.7964
6 Te 0.0990 0.0990 0.0990
7 Te 0.3001 0.3001 0.3001
8 Te 0.6999 0.6999 0.6999
9 Te 0.9010 0.9010 0.9010
10 I 0.5000 0.5000 0.5000

---

Starting from a GGA-PBE-relaxed structure, the X-ray diffraction stick pattern of CaAc5Tl2 was calculated for CuKα.
Intensities are scaled so that the largest is 100.

Largest 6 diffraction maxima, in order of rising 2θ, 2θ from 10° to 90°:
| d [Å] | I (rel.) |
| --- | --- |
| 3.204 | 59 |
| 3.020 | 56 |
| 2.973 | 100 |
| 2.907 | 37 |
| 2.782 | 32 |
| 1.658 | 37 |

Atomic structure:
Cell lengths 3.9958, 11.6293, 13.8410 Å; angles 90.00, 90.00, 90.00 degrees
Positions (direct):
1 Ca 0.0000 0.0000 0.0000
2 Ca 0.5000 0.5000 0.5000
3 Ac 0.0000 0.2258 0.3612
4 Ac 0.0000 0.2258 0.6388
5 Ac 0.0000 0.5000 0.0000
6 Ac 0.0000 0.7742 0.3612
7 Ac 0.0000 0.7742 0.6388
8 Ac 0.5000 0.0000 0.5000
9 Ac 0.5000 0.2742 0.1388
10 Ac 0.5000 0.2742 0.8612
11 Ac 0.5000 0.7258 0.1388
12 Ac 0.5000 0.7258 0.8612
13 Tl 0.0000 0.5000 0.2654
14 Tl 0.0000 0.5000 0.7346
15 Tl 0.5000 0.0000 0.2346
16 Tl 0.5000 0.0000 0.7654

---

Starting from a GGA-PBE-relaxed structure, the X-ray diffraction stick pattern of Fe2Cu6SnS8 was calculated for CuKα.
Intensities are scaled so that the largest is 100.

Largest 6 diffraction maxima, in order of rising 2θ, 2θ from 10° to 90°:
| d [Å] | I (rel.) |
| --- | --- |
| 3.093 | 100 |
| 2.696 | 15 |
| 1.906 | 27 |
| 1.888 | 53 |
| 1.623 | 27 |
| 1.097 | 17 |

Atomic structure:
Cell lengths 7.6258, 7.6258, 5.2899 Å; angles 90.00, 90.00, 90.00 degrees
Positions (direct):
1 Fe 0.0000 0.0000 0.0000
2 Fe 0.0000 0.0000 0.5000
3 Cu 0.0000 0.5000 0.4867
4 Cu 0.2505 0.2505 0.0000
5 Cu 0.2505 0.7495 0.0000
6 Cu 0.5000 0.0000 0.5133
7 Cu 0.7495 0.2505 0.0000
8 Cu 0.7495 0.7495 0.0000
9 Sn 0.5000 0.5000 0.5000
10 S 0.0000 0.2405 0.2550
11 S 0.0000 0.7595 0.2550
12 S 0.2333 0.5000 0.7599
13 S 0.2405 0.0000 0.7450
14 S 0.5000 0.2333 0.2401
15 S 0.5000 0.7667 0.2401
16 S 0.7595 0.0000 0.7450
17 S 0.7667 0.5000 0.7599

---

Starting from a GGA-PBE-relaxed structure, the X-ray diffraction stick pattern of Ac4Tl3Cd was calculated for CuKα.
Intensities are scaled so that the largest is 100.

Largest 6 diffraction maxima, in order of rising 2θ, 2θ from 10° to 90°:
| d [Å] | I (rel.) |
| --- | --- |
| 2.925 | 100 |
| 2.897 | 49 |
| 2.049 | 19 |
| 1.694 | 21 |
| 1.678 | 40 |
| 1.462 | 13 |

Atomic structure:
Cell lengths 5.7948, 5.7948, 16.7034 Å; angles 90.00, 90.00, 90.00 degrees
Positions (direct):
1 Ac 0.0000 0.5000 0.1238
2 Ac 0.0000 0.5000 0.3762
3 Ac 0.0000 0.5000 0.6238
4 Ac 0.0000 0.5000 0.8762
5 Ac 0.5000 0.0000 0.1238
6 Ac 0.5000 0.0000 0.3762
7 Ac 0.5000 0.0000 0.6238
8 Ac 0.5000 0.0000 0.8762
9 Tl 0.0000 0.0000 0.0000
10 Tl 0.0000 0.0000 0.2521
11 Tl 0.0000 0.0000 0.7479
12 Tl 0.5000 0.5000 0.2479
13 Tl 0.5000 0.5000 0.5000
14 Tl 0.5000 0.5000 0.7521
15 Cd 0.0000 0.0000 0.5000
16 Cd 0.5000 0.5000 0.0000

---

Starting from a GGA-PBE-relaxed structure, the X-ray diffraction stick pattern of NaPuSn2I8 was calculated for CuKα.
Intensities are scaled so that the largest is 100.

Largest 6 diffraction maxima, in order of rising 2θ, 2θ from 10° to 90°:
| d [Å] | I (rel.) |
| --- | --- |
| 3.504 | 99 |
| 3.479 | 100 |
| 3.463 | 57 |
| 2.692 | 71 |
| 2.670 | 84 |
| 2.270 | 95 |

Atomic structure:
Cell lengths 7.2505, 9.2630, 7.8144 Å; angles 90.00, 90.94, 90.00 degrees
Positions (direct):
1 Na 0.0000 0.0000 0.0000
2 Pu 0.0000 0.5000 0.0000
3 Sn 0.5000 0.2443 0.5000
4 Sn 0.5000 0.7557 0.5000
5 I 0.2372 0.5000 0.6694
6 I 0.2443 0.2570 0.1578
7 I 0.2443 0.7430 0.1578
8 I 0.2620 0.0000 0.6518
9 I 0.7380 0.0000 0.3482
10 I 0.7557 0.2570 0.8422
11 I 0.7557 0.7430 0.8422
12 I 0.7628 0.5000 0.3306

---

Starting from a GGA-PBE-relaxed structure, the X-ray diffraction stick pattern of TiNb2O7 was calculated for CuKα.
Intensities are scaled so that the largest is 100.

Largest 6 diffraction maxima, in order of rising 2θ, 2θ from 10° to 90°:
| d [Å] | I (rel.) |
| --- | --- |
| 3.765 | 100 |
| 3.502 | 75 |
| 3.434 | 62 |
| 2.792 | 45 |
| 1.926 | 37 |
| 1.687 | 40 |

Atomic structure:
Cell lengths 10.5064, 10.5064, 12.1645 Å; angles 119.70, 119.70, 21.13 degrees
Positions (direct):
1 Ti 0.0000 0.0000 0.0000
2 Ti 0.4132 0.4132 0.2703
3 Ti 0.5157 0.5157 0.6184
4 Nb 0.5920 0.5920 0.2616
5 Nb 0.6247 0.6247 0.9873
6 Nb 0.7007 0.7007 0.6319
7 Nb 0.7852 0.7852 0.2710
8 Nb 0.8196 0.8196 0.0034
9 Nb 0.8944 0.8944 0.6446
10 O 0.0784 0.0784 0.2097
11 O 0.1078 0.1078 0.0085
12 O 0.2096 0.2096 0.6336
13 O 0.3038 0.3038 0.2533
14 O 0.3332 0.3332 0.0529
15 O 0.4159 0.4159 0.6342
16 O 0.4576 0.4576 0.4369
17 O 0.4960 0.4960 0.2487
18 O 0.5323 0.5323 0.0337
19 O 0.5788 0.5788 0.8157
20 O 0.6053 0.6053 0.6198
21 O 0.6541 0.6541 0.4346
22 O 0.6813 0.6813 0.2165
23 O 0.7299 0.7299 0.0463
24 O 0.7573 0.7573 0.8303
25 O 0.8056 0.8056 0.6435
26 O 0.8314 0.8314 0.4436
27 O 0.8798 0.8798 0.2306
28 O 0.9166 0.9166 0.0164
29 O 0.9559 0.9559 0.8308
30 O 0.9966 0.9966 0.6266

---

Copy entry 2 word for word.
Starting from a GGA-PBE-relaxed structure, the X-ray diffraction stick pattern of MgRuCl was calculated for CuKα.
Intensities are scaled so that the largest is 100.

Largest 6 diffraction maxima, in order of rising 2θ, 2θ from 10° to 90°:
| d [Å] | I (rel.) |
| --- | --- |
| 6.182 | 40 |
| 3.091 | 15 |
| 2.693 | 20 |
| 2.469 | 100 |
| 2.031 | 49 |
| 1.555 | 18 |

Atomic structure:
Cell lengths 3.1100, 3.1100, 6.1824 Å; angles 90.00, 90.00, 120.00 degrees
Positions (direct):
1 Mg 0.0000 0.0000 0.0000
2 Ru 0.3333 0.6667 0.3344
3 Cl 0.6667 0.3333 0.7079